Record 1
# ScCo5P3
Computed X-ray diffraction stick pattern, copper Kα. Input: a crystal structure in Alexandria, relaxed with GGA-PBE.
Peak positions follow from Bragg's law for the DFT cell and can differ from measured ones.

The 10 most intense peaks (10 to 80 degrees two-theta), in order of rising 2θ:
2θ 15.6, I 39
2θ 15.8, I 67
2θ 17.5, I 50
2θ 34.8, I 40
2θ 35.7, I 43
2θ 35.9, I 90
2θ 42.0, I 100
2θ 48.8, I 42
2θ 50.4, I 82
2θ 51.9, I 99

Structural model:
a = 5.959 Å, b = 5.959 Å, c = 11.205 Å
α = 90.00°, β = 90.00°, γ = 145.64°
Element x y z (fractional)
Sc  0.136  0.864  0.750
Sc  0.864  0.136  0.250
Co  0.000  0.000  0.000
Co  0.000  0.000  0.500
Co  0.200  0.800  0.073
Co  0.200  0.800  0.427
Co  0.449  0.551  0.644
Co  0.449  0.551  0.856
Co  0.551  0.449  0.144
Co  0.551  0.449  0.356
Co  0.800  0.200  0.573
Co  0.800  0.200  0.927
P  0.115  0.885  0.250
P  0.382  0.618  0.043
P  0.382  0.618  0.457
P  0.618  0.382  0.543
P  0.618  0.382  0.957
P  0.885  0.115  0.750

---

Record 2
# Nd8Sm3Y3
Computed X-ray diffraction stick pattern, copper Kα. Input: a crystal structure in Alexandria, relaxed with GGA-PBE.
Peak positions follow from Bragg's law for the DFT cell and can differ from measured ones.

The 10 most intense peaks (10 to 80 degrees two-theta), in order of rising 2θ:
2θ 24.9, I 12
2θ 28.4, I 12
2θ 29.1, I 26
2θ 30.0, I 17
2θ 31.1, I 100
2θ 33.1, I 32
2θ 43.7, I 12
2θ 55.4, I 13
2θ 59.8, I 11
2θ 61.0, I 11

Structural model:
a = 9.865 Å, b = 9.865 Å, c = 9.865 Å
α = 146.09°, β = 112.17°, γ = 78.04°
Element x y z (fractional)
Nd  0.059  0.396  0.662
Nd  0.065  0.224  0.842
Nd  0.266  0.604  0.662
Nd  0.382  0.224  0.158
Nd  0.618  0.776  0.842
Nd  0.734  0.396  0.338
Nd  0.935  0.776  0.158
Nd  0.941  0.604  0.338
Sm  0.319  0.819  0.500
Sm  0.500  0.500  0.000
Sm  0.681  0.181  0.500
Y  0.000  0.000  0.000
Y  0.302  0.000  0.302
Y  0.698  0.000  0.698

---

Record 3
# Mg5Cd2In4
Computed X-ray diffraction stick pattern, copper Kα. Input: a crystal structure in Alexandria, relaxed with GGA-PBE.
Peak positions follow from Bragg's law for the DFT cell and can differ from measured ones.

The 10 most intense peaks (10 to 80 degrees two-theta), in order of rising 2θ:
2θ 21.7, I 60
2θ 23.4, I 64
2θ 27.3, I 99
2θ 33.7, I 76
2θ 35.0, I 68
2θ 35.1, I 100
2θ 35.3, I 57
2θ 36.3, I 91
2θ 38.0, I 42
2θ 43.9, I 45

Structural model:
a = 8.320 Å, b = 18.873 Å, c = 3.264 Å
α = 90.00°, β = 90.00°, γ = 90.00°
Element x y z (fractional)
Mg  0.000  0.000  0.000
Mg  0.128  0.431  0.000
Mg  0.216  0.208  0.000
Mg  0.284  0.708  0.000
Mg  0.372  0.931  0.000
Mg  0.500  0.500  0.000
Mg  0.628  0.069  0.000
Mg  0.716  0.292  0.000
Mg  0.784  0.792  0.000
Mg  0.872  0.569  0.000
Cd  0.021  0.306  0.500
Cd  0.479  0.806  0.500
Cd  0.521  0.194  0.500
Cd  0.979  0.694  0.500
In  0.093  0.856  0.500
In  0.214  0.567  0.500
In  0.286  0.067  0.500
In  0.407  0.356  0.500
In  0.593  0.644  0.500
In  0.714  0.933  0.500
In  0.786  0.433  0.500
In  0.907  0.144  0.500

---

Record 4
# RbNaMn2
Computed X-ray diffraction stick pattern, copper Kα. Input: a crystal structure in Alexandria, relaxed with GGA-PBE.
Peak positions follow from Bragg's law for the DFT cell and can differ from measured ones.

The 10 most intense peaks (10 to 80 degrees two-theta), in order of rising 2θ:
2θ 17.8, I 16
2θ 26.4, I 25
2θ 27.6, I 100
2θ 33.1, I 62
2θ 39.4, I 36
2θ 43.6, I 54
2θ 52.3, I 21
2θ 60.2, I 19
2θ 66.0, I 15
2θ 79.6, I 16

Structural model:
a = 9.157 Å, b = 9.157 Å, c = 5.955 Å
α = 90.00°, β = 90.00°, γ = 90.00°
Element x y z (fractional)
Rb  0.000  0.000  0.000
Rb  0.000  0.500  0.250
Rb  0.500  0.000  0.750
Rb  0.500  0.500  0.500
Na  0.000  0.000  0.500
Na  0.000  0.500  0.750
Na  0.500  0.000  0.250
Na  0.500  0.500  0.000
Mn  0.230  0.250  0.625
Mn  0.250  0.730  0.875
Mn  0.250  0.770  0.375
Mn  0.270  0.250  0.125
Mn  0.730  0.750  0.125
Mn  0.750  0.230  0.375
Mn  0.750  0.270  0.875
Mn  0.770  0.750  0.625

---

Record 5
# CaLaDyZn
Computed X-ray diffraction stick pattern, copper Kα. Input: a crystal structure in Alexandria, relaxed with GGA-PBE.
Peak positions follow from Bragg's law for the DFT cell and can differ from measured ones.

The 10 most intense peaks (10 to 80 degrees two-theta), in order of rising 2θ:
2θ 26.5, I 27
2θ 28.6, I 12
2θ 31.3, I 100
2θ 35.2, I 45
2θ 38.1, I 15
2θ 45.9, I 13
2θ 50.6, I 16
2θ 53.1, I 12
2θ 55.3, I 11
2θ 60.7, I 29

Structural model:
a = 3.610 Å, b = 3.610 Å, c = 9.356 Å
α = 90.00°, β = 90.00°, γ = 90.00°
Element x y z (fractional)
Ca  0.000  0.000  0.000
La  0.500  0.500  0.668
Dy  0.000  0.000  0.388
Zn  0.500  0.500  0.209

---

Record 6
# Cs2Hg7
Computed X-ray diffraction stick pattern, copper Kα. Input: a crystal structure in Alexandria, relaxed with GGA-PBE.
Peak positions follow from Bragg's law for the DFT cell and can differ from measured ones.

The 10 most intense peaks (10 to 80 degrees two-theta), in order of rising 2θ:
2θ 15.4, I 29
2θ 30.9, I 23
2θ 31.4, I 100
2θ 32.8, I 32
2θ 34.2, I 35
2θ 36.0, I 24
2θ 50.1, I 28
2θ 54.9, I 32
2θ 65.5, I 27
2θ 77.5, I 17

Structural model:
a = 16.816 Å, b = 16.816 Å, c = 16.816 Å
α = 22.94°, β = 22.94°, γ = 22.94°
Element x y z (fractional)
Cs  0.052  0.052  0.052
Cs  0.150  0.150  0.150
Cs  0.850  0.850  0.850
Cs  0.948  0.948  0.948
Hg  0.000  0.500  0.500
Hg  0.106  0.612  0.612
Hg  0.279  0.279  0.279
Hg  0.388  0.388  0.388
Hg  0.388  0.388  0.894
Hg  0.388  0.894  0.388
Hg  0.500  0.000  0.500
Hg  0.500  0.500  0.000
Hg  0.500  0.500  0.500
Hg  0.612  0.106  0.612
Hg  0.612  0.612  0.106
Hg  0.612  0.612  0.612
Hg  0.721  0.721  0.721
Hg  0.894  0.388  0.388

---

Record 7
# K3NaCl4
Computed X-ray diffraction stick pattern, copper Kα. Input: a crystal structure in Alexandria, relaxed with GGA-PBE.
Peak positions follow from Bragg's law for the DFT cell and can differ from measured ones.

The 10 most intense peaks (10 to 80 degrees two-theta), in order of rising 2θ:
2θ 28.7, I 100
2θ 41.1, I 55
2θ 41.2, I 11
2θ 50.8, I 11
2θ 51.0, I 11
2θ 59.5, I 9
2θ 67.4, I 21
2θ 67.5, I 4
2θ 74.8, I 9
2θ 74.9, I 9

Structural model:
a = 8.803 Å, b = 12.437 Å, c = 4.386 Å
α = 90.00°, β = 90.00°, γ = 90.00°
Element x y z (fractional)
K  0.000  0.000  0.000
K  0.250  0.250  0.500
K  0.250  0.750  0.500
K  0.500  0.500  0.000
K  0.750  0.250  0.500
K  0.750  0.750  0.500
Na  0.000  0.500  0.000
Na  0.500  0.000  0.000
Cl  0.000  0.259  0.000
Cl  0.000  0.741  0.000
Cl  0.233  0.500  0.500
Cl  0.267  0.000  0.500
Cl  0.500  0.241  0.000
Cl  0.500  0.759  0.000
Cl  0.733  0.000  0.500
Cl  0.767  0.500  0.500

---

Record 8
# Sc2UCo9
Computed X-ray diffraction stick pattern, copper Kα. Input: a crystal structure in Alexandria, relaxed with GGA-PBE.
Peak positions follow from Bragg's law for the DFT cell and can differ from measured ones.

The 10 most intense peaks (10 to 80 degrees two-theta), in order of rising 2θ:
2θ 11.1, I 52
2θ 26.0, I 26
2θ 33.8, I 25
2θ 36.9, I 31
2θ 37.3, I 33
2θ 43.5, I 35
2θ 43.8, I 100
2θ 44.0, I 22
2θ 45.4, I 25
2θ 71.7, I 22

Structural model:
a = 8.460 Å, b = 8.460 Å, c = 8.460 Å
α = 33.15°, β = 33.15°, γ = 33.15°
Element x y z (fractional)
Sc  0.141  0.141  0.141
Sc  0.859  0.859  0.859
U  0.000  0.000  0.000
Co  0.079  0.586  0.586
Co  0.335  0.335  0.335
Co  0.414  0.414  0.921
Co  0.414  0.921  0.414
Co  0.500  0.500  0.500
Co  0.586  0.079  0.586
Co  0.586  0.586  0.079
Co  0.665  0.665  0.665
Co  0.921  0.414  0.414